For PmAl12Pd4, the PBE geometry in Alexandria gives the simulated powder diffractogram in this record (Cu Kα X-rays).
Intensities are scaled so that the largest is 100.

Largest 10 diffraction maxima, by intensity, 2θ = 10–90°:
two_theta, d/Å, I/Imax
28.8, 3.104, 100
51.0, 1.792, 66
32.2, 2.776, 40
20.2, 4.389, 33
38.4, 2.346, 33
46.3, 1.963, 28
14.3, 6.207, 24
67.5, 1.388, 23
41.1, 2.195, 21
82.2, 1.173, 19

Cell and atoms:
```
PmAl12Pd4
1.0
-4.3892 4.3892 4.3892
4.3892 -4.3892 4.3892
4.3892 4.3892 -4.3892
Pm Al Pd
1 12 4
Direct
0.0000 0.0000 0.0000 Pm
0.1586 0.3433 0.5019 Al
0.1586 0.6567 0.8152 Al
0.1848 0.8414 0.3433 Al
0.3433 0.1848 0.8414 Al
0.3433 0.5019 0.1586 Al
0.4981 0.8414 0.6567 Al
0.5019 0.1586 0.3433 Al
0.6567 0.4981 0.8414 Al
0.6567 0.8152 0.1586 Al
0.8152 0.1586 0.6567 Al
0.8414 0.3433 0.1848 Al
0.8414 0.6567 0.4981 Al
0.0000 0.0000 0.5000 Pd
0.0000 0.5000 0.0000 Pd
0.5000 0.0000 0.0000 Pd
0.5000 0.5000 0.5000 Pd
```